Starting from a PBE+U-relaxed structure, the powder X-ray diffraction pattern of KRb2V2F7 was simulated for Cu Kα X-rays.
Kinematic intensities with the Lorentz-polarization factor, no thermal factor.

Principal peaks in the range 2θ from 10° to 90°, low angle first:
2θ 24.11, I 19, hkl 1 1 3; 2θ 28.95, I 100, hkl 1 1 5; 2θ 29.78, I 72, hkl 2 0 0; 2θ 38.46, I 33, hkl 2 0 6; 2θ 40.15, I 23, hkl 0 0 10; 2θ 42.62, I 60, hkl 2 2 0; 2θ 52.35, I 37, hkl 3 1 5; 2θ 59.99, I 24, hkl 2 2 10

Structural model:
a b c (Å): 5.995 6.004 22.458
angles (deg): 90.00 90.00 90.00
Space group Fmmm (No. 69)
Unique sites:
K  0.000  0.000  0.000 x4
Rb  0.000  0.000  0.185 x8
V  0.000  0.000  0.406 x8
F  0.000  0.000  0.311 x8
F  0.000  0.000  0.500 x4
F  0.250  0.250  0.092 x16